# 1
This entry pairs a crystal structure of CeCo6SiB with its theoretical XRD peak list. Radiation: Cu Kα (λ = 1.5418 Å). Structure: a DFT-relaxed cell (PBE, Alexandria).
Kinematic intensities with the Lorentz-polarization factor, no thermal factor.

Structure:
```
data_CeCo6SiB
_chemical_formula_sum 'Ce2 Co12 Si2 B2'
_symmetry_space_group_name_H-M 'P 1'
_symmetry_Int_Tables_number 1
_cell_length_a 7.0689
_cell_length_b 7.0689
_cell_length_c 7.0689
_cell_angle_alpha 135.05
_cell_angle_beta 110.91
_cell_angle_gamma 86.30
loop_
_symmetry_equiv_pos_as_xyz
'x,y,z'
loop_
_atom_site_label
_atom_site_type_symbol
_atom_site_fract_x
_atom_site_fract_y
_atom_site_fract_z
Ce1 Ce 0.4423 0.1923 0.2500
Ce2 Ce 0.5577 0.8077 0.7500
Co1 Co 0.1160 0.3674 0.2323
Co2 Co 0.1160 0.8837 0.7486
Co3 Co 0.1841 0.9341 0.2500
Co4 Co 0.2452 0.4952 0.7500
Co5 Co 0.3649 0.1163 0.7323
Co6 Co 0.3649 0.6326 0.2486
Co7 Co 0.6351 0.3674 0.7514
Co8 Co 0.6351 0.8837 0.2677
Co9 Co 0.7548 0.5048 0.2500
Co10 Co 0.8159 0.0659 0.7500
Co11 Co 0.8840 0.1163 0.2514
Co12 Co 0.8840 0.6326 0.7677
Si1 Si 0.0000 0.0000 0.5000
Si2 Si 0.0000 0.5000 0.0000
B1 B 0.0000 0.5000 0.5000
B2 B 0.5000 0.5000 0.0000
```

Peak list (8 most intense, 10 to 80 degrees two-theta, in order of falling intensity)
- 2.241 Å, I = 1000
- 2.169 Å, I = 491
- 2.004 Å, I = 460
- 2.235 Å, I = 331
- 2.901 Å, I = 312
- 1.866 Å, I = 275
- 2.485 Å, I = 246
- 2.350 Å, I = 227

---

# 2
This entry pairs a crystal structure of Ce2Co3TcB12 with its theoretical XRD peak list. Radiation: Cu Kα (λ = 1.5418 Å). Structure: a DFT-relaxed cell (PBE, Alexandria).
Kinematic intensities with the Lorentz-polarization factor, no thermal factor.

Structure:
```
data_Ce2Co3TcB12
_chemical_formula_sum 'Ce2 Co3 Tc1 B12'
_symmetry_space_group_name_H-M 'P 1'
_symmetry_Int_Tables_number 1
_cell_length_a 8.3162
_cell_length_b 8.3162
_cell_length_c 8.3162
_cell_angle_alpha 37.69
_cell_angle_beta 37.69
_cell_angle_gamma 37.69
loop_
_symmetry_equiv_pos_as_xyz
'x,y,z'
loop_
_atom_site_label
_atom_site_type_symbol
_atom_site_fract_x
_atom_site_fract_y
_atom_site_fract_z
Ce1 Ce 0.1421 0.1421 0.1421
Ce2 Ce 0.8579 0.8579 0.8579
Co1 Co 0.0000 0.5000 0.5000
Co2 Co 0.5000 0.0000 0.5000
Co3 Co 0.5000 0.5000 0.0000
Tc1 Tc 0.5000 0.5000 0.5000
B1 B 0.1581 0.1581 0.4774
B2 B 0.1581 0.4774 0.1581
B3 B 0.1760 0.5442 0.5442
B4 B 0.4558 0.4558 0.8240
B5 B 0.4558 0.8240 0.4558
B6 B 0.4774 0.1581 0.1581
B7 B 0.5226 0.8419 0.8419
B8 B 0.5442 0.1760 0.5442
B9 B 0.5442 0.5442 0.1760
B10 B 0.8240 0.4558 0.4558
B11 B 0.8419 0.5226 0.8419
B12 B 0.8419 0.8419 0.5226
```

Peak list (8 most intense, 10 to 80 degrees two-theta, in order of falling intensity)
- 2.537 Å, I = 1000
- 3.858 Å, I = 370
- 2.686 Å, I = 341
- 7.716 Å, I = 315
- 3.282 Å, I = 305
- 3.626 Å, I = 262
- 1.349 Å, I = 262
- 1.813 Å, I = 232

---

# 3
This entry pairs a crystal structure of CeDyB with its theoretical XRD peak list. Radiation: Cu Kα (λ = 1.5418 Å). Structure: a DFT-relaxed cell (PBE, Alexandria).
Kinematic intensities with the Lorentz-polarization factor, no thermal factor.

Structure:
```
data_CeDyB
_chemical_formula_sum 'Ce2 Dy2 B2'
_symmetry_space_group_name_H-M 'P 1'
_symmetry_Int_Tables_number 1
_cell_length_a 6.2191
_cell_length_b 6.2191
_cell_length_c 7.7252
_cell_angle_alpha 127.56
_cell_angle_beta 127.56
_cell_angle_gamma 34.38
loop_
_symmetry_equiv_pos_as_xyz
'x,y,z'
loop_
_atom_site_label
_atom_site_type_symbol
_atom_site_fract_x
_atom_site_fract_y
_atom_site_fract_z
Ce1 Ce 0.1964 0.1964 0.0753
Ce2 Ce 0.8036 0.8036 0.9247
Dy1 Dy 0.4155 0.4155 0.6248
Dy2 Dy 0.5845 0.5845 0.3752
B1 B 0.0802 0.0802 0.6321
B2 B 0.9198 0.9198 0.3679
```

Peak list (8 most intense, 10 to 80 degrees two-theta, in order of falling intensity)
- 2.678 Å, I = 1000
- 2.852 Å, I = 725
- 2.564 Å, I = 617
- 3.319 Å, I = 460
- 2.929 Å, I = 456
- 2.109 Å, I = 316
- 2.489 Å, I = 298
- 3.862 Å, I = 296

---

# 4
This entry pairs a crystal structure of CeDyB12 with its theoretical XRD peak list. Radiation: Cu Kα (λ = 1.5418 Å). Structure: a DFT-relaxed cell (PBE, Alexandria).
Kinematic intensities with the Lorentz-polarization factor, no thermal factor.

Structure:
```
data_CeDyB12
_chemical_formula_sum 'Ce1 Dy1 B12'
_symmetry_space_group_name_H-M 'P 1'
_symmetry_Int_Tables_number 1
_cell_length_a 4.1062
_cell_length_b 4.1062
_cell_length_c 8.2152
_cell_angle_alpha 90.00
_cell_angle_beta 90.00
_cell_angle_gamma 90.00
loop_
_symmetry_equiv_pos_as_xyz
'x,y,z'
loop_
_atom_site_label
_atom_site_type_symbol
_atom_site_fract_x
_atom_site_fract_y
_atom_site_fract_z
Ce1 Ce 0.0000 0.0000 0.0000
Dy1 Dy 0.0000 0.0000 0.5000
B1 B 0.1987 0.5000 0.2514
B2 B 0.1987 0.5000 0.7486
B3 B 0.5000 0.1987 0.2514
B4 B 0.5000 0.1987 0.7486
B5 B 0.5000 0.5000 0.0999
B6 B 0.5000 0.5000 0.4012
B7 B 0.5000 0.5000 0.5988
B8 B 0.5000 0.5000 0.9001
B9 B 0.5000 0.8013 0.2514
B10 B 0.5000 0.8013 0.7486
B11 B 0.8013 0.5000 0.2514
B12 B 0.8013 0.5000 0.7486
```

Peak list (8 most intense, 10 to 80 degrees two-theta, in order of falling intensity)
- 2.904 Å, I = 1000
- 4.107 Å, I = 673
- 1.837 Å, I = 499
- 2.371 Å, I = 423
- 1.369 Å, I = 278
- 1.677 Å, I = 278
- 2.053 Å, I = 214
- 1.299 Å, I = 198